1.
This entry pairs a crystal structure of LaHoS3 with its simulated powder diffractogram. Radiation: Cu Kα. Structure: a DFT-relaxed cell (GGA-PBE, the Materials Project).
Intensities are scaled so that the largest is 1000.

Atomic structure:
```
data_LaHoS3
_symmetry_space_group_name_H-M 'P 1 21/m 1'
_symmetry_Int_Tables_number 11
_cell_length_a 11.106
_cell_length_b 4.020
_cell_length_c 21.734
_cell_angle_alpha 90.00
_cell_angle_beta 101.42
_cell_angle_gamma 90.00
loop_
_symmetry_equiv_pos_as_xyz
'x,y,z'
'-x,-y,-z'
'-x,y+1/2,-z'
'x,-y+1/2,z'
loop_
_atom_site_label
_atom_site_fract_x
_atom_site_fract_y
_atom_site_fract_z
La1 0.092 0.250 0.364
La2 0.199 0.250 0.036
La3 0.302 0.750 0.734
La4 0.308 0.250 0.232
Ho1 0.029 0.250 0.851
Ho2 0.179 0.250 0.547
Ho3 0.448 0.250 0.917
Ho4 0.477 0.750 0.412
S1 0.037 0.250 0.229
S2 0.058 0.750 0.944
S3 0.086 0.750 0.463
S4 0.124 0.250 0.664
S5 0.205 0.750 0.134
S6 0.252 0.750 0.326
S7 0.254 0.250 0.824
S8 0.342 0.750 0.599
S9 0.355 0.750 0.986
S10 0.365 0.250 0.464
S11 0.453 0.250 0.133
S12 0.494 0.250 0.721
```

Principal peaks in the range 15° ≤ 2θ ≤ 90°, low angle first:
| 2θ/deg | I/Imax |
| --- | --- |
| 24.30 | 1000 |
| 24.79 | 900 |
| 25.46 | 551 |
| 25.61 | 843 |
| 28.40 | 479 |
| 32.75 | 423 |
| 36.76 | 620 |
| 45.11 | 541 |

---

2.
This entry pairs a crystal structure of LaHoTl2 with its simulated powder diffractogram. Radiation: Cu Kα. Structure: a DFT-relaxed cell (GGA-PBE, the Materials Project).
Intensities are scaled so that the largest is 1000.

Atomic structure:
```
data_LaHoTl2
_symmetry_space_group_name_H-M 'F m -3 m'
_symmetry_Int_Tables_number 225
_symmetry_space_group_name_Hall '-F 4 2 3'
_cell_length_a 7.783
_cell_length_b 7.783
_cell_length_c 7.783
_cell_angle_alpha 90.00
_cell_angle_beta 90.00
_cell_angle_gamma 90.00
loop_
_atom_site_label
_atom_site_fract_x
_atom_site_fract_y
_atom_site_fract_z
La1 0.000 0.000 0.000
Ho1 0.000 0.000 0.500
Tl1 0.250 0.250 0.250
```

Principal peaks in the range 15° ≤ 2θ ≤ 90°, low angle first:
| 2θ/deg | I/Imax |
| --- | --- |
| 22.85 | 23 |
| 32.54 | 1000 |
| 46.68 | 185 |
| 52.59 | 11 |
| 58.06 | 390 |
| 68.15 | 121 |
| 77.58 | 168 |
| 86.66 | 44 |

---

3.
This entry pairs a crystal structure of LiHo3 with its simulated powder diffractogram. Radiation: Cu Kα. Structure: a DFT-relaxed cell (GGA-PBE, the Materials Project).
Intensities are scaled so that the largest is 1000.

Atomic structure:
```
data_LiHo3
_symmetry_space_group_name_H-M 'P 63/m m c'
_symmetry_Int_Tables_number 194
_symmetry_space_group_name_Hall '-P 6c 2c'
_cell_length_a 6.9749
_cell_length_b 6.9749
_cell_length_c 5.5062
_cell_angle_alpha 90.00
_cell_angle_beta 90.00
_cell_angle_gamma 120.00
loop_
_atom_site_label
_atom_site_fract_x
_atom_site_fract_y
_atom_site_fract_z
Li1 0.3333 0.6667 0.2500
Ho1 0.1686 0.3371 0.7500
```

Principal peaks in the range 15° ≤ 2θ ≤ 90°, low angle first:
| 2θ/deg | I/Imax |
| --- | --- |
| 21.84 | 325 |
| 29.58 | 237 |
| 32.52 | 247 |
| 33.85 | 1000 |
| 52.48 | 193 |
| 58.88 | 206 |
| 63.11 | 222 |
| 63.92 | 160 |